Calculated powder diffractogram of Mg5In for CuKα, from a crystal structure in the Materials Project, relaxed with GGA-PBE.
Intensities are scaled so that the largest is 100.

Peak list (12 most intense, 2θ from 5° to 70°, sorted by position)
2θ = 10.61°, I 53
2θ = 17.12°, I 19
2θ = 20.18°, I 26
2θ = 21.31°, I 12
2θ = 27.46°, I 13
2θ = 32.16°, I 32
2θ = 33.21°, I 15
2θ = 34.64°, I 25
2θ = 36.65°, I 100
2θ = 47.99°, I 20
2θ = 63.40°, I 19
2θ = 68.78°, I 12

Cell and atoms:
a b c (Å): 5.1788 8.4938 8.4938
angles (deg): 21.84 90.00 90.00
Positions (direct):
Mg  0.0000  0.0000  0.0000
Mg  0.0000  0.3317  0.3317
Mg  0.0000  0.6648  0.6648
Mg  0.5000  0.2200  0.2200
Mg  0.5000  0.5546  0.5546
In  0.5000  0.8880  0.8880